Computed XRD peak list
Compound: Fe2IrW
Radiation: copper Kα
Structure: the GGA-PBE geometry in Alexandria

Crystal structure
a b c (Å): 2.7660 2.7660 25.2678
angles (deg): 90.00 90.00 120.00
Space group R3m (No. 160, hexagonal axes)
Inequivalent atoms, fractional coordinates:
Fe (0.0000, 0.0000, 0.0000) x3
Fe (0.0000, 0.0000, 0.2593) x3
Ir (0.0000, 0.0000, 0.5078) x3
W (0.0000, 0.0000, 0.7540) x3

Main lines, in order of rising 2θ (2θ = 10–90°):
2theta	intensity
10.50	84
31.88	14
37.72	17
40.27	100
41.73	16
42.95	27
47.65	61
67.76	21
71.56	17
83.66	23


Computed XRD peak list
Compound: Pr2DyYMg
Radiation: copper Kα
Structure: the GGA-PBE geometry in Alexandria

Crystal structure
a b c (Å): 5.980 7.580 7.259
angles (deg): 90.00 90.00 90.00
Space group Pmma (No. 51)
Inequivalent atoms, fractional coordinates:
Pr (0.250, 0.214, 0.194) x4
Dy (0.250, 0.000, 0.652) x2
Y (0.250, 0.500, 0.875) x2
Mg (0.000, 0.500, 0.500) x2

Main lines, in order of rising 2θ (2θ = 10–90°):
2theta	intensity
11.67	13
16.91	13
24.53	14
28.77	18
29.88	36
30.52	100
31.15	40
39.05	17
40.71	13
53.45	21